No. 1
CeSi2Au4: calculated powder diffractogram (CuKα), based on a cell relaxed with GGA-PBE.
Neutral-atom scattering factors, no anomalous dispersion.

Structural model:
Cell: 4.3929 4.3929 27.6552 Å, 90.00 90.00 90.00°
Space group P4_2/mmc (No. 131)
Symmetry-distinct sites (fractional):
1 Ce 0.0000 0.0000 0.2500 x2
2 Ce 0.0000 0.5000 0.0000 x2
3 Si 0.0000 0.5000 0.4575 x4
4 Si 0.5000 0.5000 0.2075 x4
5 Au 0.0000 0.0000 0.0869 x4
6 Au 0.0000 0.5000 0.1631 x4
7 Au 0.0000 0.5000 0.3367 x4
8 Au 0.5000 0.5000 0.0869 x4

Peak list (10 most intense, 2θ from 10° to 90°, most intense first)
2θ 34.8, intensity 1000, hkl 1 1 6
2θ 41.1, intensity 365, hkl 2 0 0
2θ 70.8, intensity 261, hkl 3 1 6
2θ 12.8, intensity 238, hkl 0 0 4
2θ 58.0, intensity 198, hkl 2 0 12
2θ 39.1, intensity 154, hkl 0 0 12
2θ 68.1, intensity 131, hkl 1 1 18
2θ 43.8, intensity 127, hkl 1 1 10
2θ 59.5, intensity 124, hkl 2 2 0
2θ 73.5, intensity 100, hkl 2 2 12

No. 2
Mg2TlCd9: calculated powder diffractogram (CuKα), based on a cell relaxed with GGA-PBE.
Neutral-atom scattering factors, no anomalous dispersion.

Structural model:
Cell: 4.5118 4.5118 13.6254 Å, 90.00 90.00 90.00°
Space group P4/mmm (No. 123)
Symmetry-distinct sites (fractional):
1 Mg 0.0000 0.0000 0.1609 x2
2 Tl 0.0000 0.0000 0.5000 x1
3 Cd 0.0000 0.5000 0.0000 x2
4 Cd 0.0000 0.5000 0.3200 x4
5 Cd 0.5000 0.5000 0.1599 x2
6 Cd 0.5000 0.5000 0.5000 x1

Peak list (10 most intense, 2θ from 10° to 90°, most intense first)
2θ 34.4, intensity 1000, hkl 1 1 3
2θ 40.0, intensity 336, hkl 2 0 0
2θ 69.0, intensity 251, hkl 3 1 3
2θ 57.6, intensity 200, hkl 2 0 6
2θ 39.7, intensity 154, hkl 0 0 6
2θ 57.8, intensity 112, hkl 2 2 0
2θ 72.4, intensity 103, hkl 2 2 6
2θ 68.6, intensity 102, hkl 1 1 9
2θ 20.7, intensity 70, hkl 1 0 1
2θ 31.0, intensity 54, hkl 1 1 2

No. 3
Ce2Zn3Co2: calculated powder diffractogram (CuKα), based on a cell relaxed with GGA-PBE.
Neutral-atom scattering factors, no anomalous dispersion.

Structural model:
Cell: 9.0895 4.1910 7.1232 Å, 90.00 112.78 90.00°
Space group C2/m (No. 12)
Symmetry-distinct sites (fractional):
1 Ce 0.1322 0.0000 0.2700 x4
2 Zn 0.0000 0.5000 0.5000 x2
3 Zn 0.1430 0.5000 0.9502 x4
4 Co 0.1037 0.0000 0.7045 x4

Peak list (10 most intense, 2θ from 10° to 90°, most intense first)
2θ 43.2, intensity 1000, hkl 0 2 0
2θ 39.5, intensity 972, hkl 1 1 2
2θ 33.0, intensity 928, hkl 1 1 -2
2θ 29.4, intensity 785, hkl 1 1 1
2θ 36.6, intensity 540, hkl 3 1 -1
2θ 39.6, intensity 527, hkl 3 1 -2
2θ 41.2, intensity 417, hkl 4 0 -2
2θ 38.3, intensity 332, hkl 2 0 -3
2θ 61.2, intensity 282, hkl 4 2 -2
2θ 23.7, intensity 278, hkl 1 1 0

What is the formula in the third record?
Ce2Zn3Co2